This entry pairs a crystal structure of CuH4SeO5 with its simulated XRD peak list. Radiation: a wavelength of 1.5418 Å. Structure: a PBE-relaxed structure.
Intensities are scaled so that the largest is 100.

Largest 10 diffraction maxima, sorted by position, 5° ≤ 2θ ≤ 70°:
d_spacing, 2theta, I (rel.)
5.423, 16.3, 77
4.980, 17.8, 100
3.819, 23.3, 63
3.475, 25.6, 42
3.403, 26.2, 74
3.082, 29.0, 44
2.895, 30.9, 38
2.869, 31.2, 35
2.550, 35.2, 61
2.200, 41.0, 28

Atomic structure:
```
CuH4SeO5
1.0
6.668 0.000 0.000
0.000 7.490 0.000
0.000 0.000 9.319
Cu H Se O
4 16 4 20
Direct
0.229 0.033 0.101
0.271 0.967 0.601
0.729 0.467 0.899
0.771 0.533 0.399
0.014 0.445 0.153
0.075 0.642 0.183
0.129 0.307 0.942
0.184 0.630 0.538
0.316 0.370 0.038
0.371 0.693 0.442
0.425 0.358 0.683
0.486 0.555 0.653
0.514 0.055 0.847
0.575 0.858 0.817
0.629 0.193 0.058
0.684 0.870 0.462
0.816 0.130 0.962
0.871 0.807 0.558
0.925 0.142 0.317
0.986 0.945 0.347
0.021 0.796 0.861
0.479 0.204 0.361
0.521 0.704 0.139
0.979 0.296 0.639
0.001 0.983 0.971
0.015 0.897 0.691
0.042 0.059 0.310
0.195 0.289 0.037
0.226 0.223 0.639
0.274 0.777 0.139
0.305 0.711 0.537
0.458 0.941 0.810
0.485 0.103 0.191
0.499 0.017 0.471
0.501 0.517 0.029
0.515 0.603 0.309
0.542 0.441 0.690
0.695 0.211 0.963
0.726 0.277 0.361
0.774 0.723 0.861
0.805 0.789 0.463
0.958 0.559 0.190
0.985 0.397 0.809
0.999 0.483 0.529
```